[1]
Theoretical powder diffractogram of Mn2O3F for Cu Kα, 1.54184 Å, from a crystal structure in the Materials Project, relaxed with GGA+U.
No peak broadening, texture or thermal motion is included.

Crystal structure
Lattice parameters (Å, degrees): 3.012 6.303 6.790 90.00 90.00 90.00
Space group Amm2 (No. 38)
Asymmetric unit:
Mn1 0.000 0.000 0.000 [2 per cell]
Mn2 0.500 0.000 0.472 [2 per cell]
O1 0.000 0.195 0.481 [4 per cell]
O2 0.500 0.000 0.177 [2 per cell]
F1 0.500 0.000 0.791 [2 per cell]

Largest 10 diffraction maxima, in order of falling intensity, 2θ from 10° to 80°:
(hkl)	d/Å	Rel. int.
0 0 2	3.395	100
1 1 1	2.523	99
0 2 0	3.152	91
1 1 3	1.739	61
1 3 1	1.670	52
1 3 3	1.371	39
1 0 2	2.253	18
0 0 4	1.697	17
0 2 2	2.310	17
2 0 0	1.506	17


[2]
Theoretical powder diffractogram of Mg14NbFeO16 for Cu Kα, 1.54184 Å, from a crystal structure in the Materials Project, relaxed with GGA+U.
No peak broadening, texture or thermal motion is included.

Crystal structure
Lattice parameters (Å, degrees): 4.275 8.634 8.643 90.00 90.00 90.00
Space group Pmmm (No. 47)
Asymmetric unit:
Mg1 0.000 0.000 0.000 [1 per cell]
Mg2 0.000 0.000 0.500 [1 per cell]
Mg3 0.000 0.247 0.247 [4 per cell]
Mg4 0.500 0.000 0.249 [2 per cell]
Mg5 0.500 0.245 0.500 [2 per cell]
Mg6 0.500 0.247 0.000 [2 per cell]
Mg7 0.500 0.500 0.246 [2 per cell]
Nb1 0.000 0.500 0.500 [1 per cell]
Fe1 0.000 0.500 0.000 [1 per cell]
O1 0.000 0.000 0.250 [2 per cell]
O2 0.000 0.238 0.500 [2 per cell]
O3 0.000 0.242 0.000 [2 per cell]
O4 0.000 0.500 0.244 [2 per cell]
O5 0.500 0.000 0.000 [1 per cell]
O6 0.500 0.000 0.500 [1 per cell]
O7 0.500 0.251 0.250 [4 per cell]
O8 0.500 0.500 0.000 [1 per cell]
O9 0.500 0.500 0.500 [1 per cell]

Largest 10 diffraction maxima, in order of falling intensity, 2θ from 10° to 80°:
(hkl)	d/Å	Rel. int.
0 0 4	2.160	100
2 0 4	1.519	56
2 0 0	2.137	49
1 2 2	2.485	33
0 4 4	1.527	29
2 4 4	1.243	26
0 1 0	8.635	26
0 2 0	4.319	12
1 6 2	1.301	12
1 2 0	3.038	10


[3]
Theoretical powder diffractogram of Li7Mn8B8O24 for Cu Kα, 1.54184 Å, from a crystal structure in the Materials Project, relaxed with GGA+U.
No peak broadening, texture or thermal motion is included.

Crystal structure
Lattice parameters (Å, degrees): 5.297 9.038 10.458 90.21 92.43 90.09
Space group P1 (No. 1)
Asymmetric unit:
Li1 0.000 0.000 0.000 [1 per cell]
Li2 0.011 0.039 0.499 [1 per cell]
Li3 0.181 0.528 0.251 [1 per cell]
Li4 0.198 0.521 0.753 [1 per cell]
Li5 0.510 0.542 0.492 [1 per cell]
Li6 0.682 0.027 0.238 [1 per cell]
Li7 0.693 0.026 0.758 [1 per cell]
Mn1 0.007 0.366 0.463 [1 per cell]
Mn2 0.018 0.673 0.968 [1 per cell]
Mn3 0.183 0.185 0.217 [1 per cell]
Mn4 0.188 0.857 0.718 [1 per cell]
Mn5 0.495 0.210 0.963 [1 per cell]
Mn6 0.510 0.867 0.463 [1 per cell]
Mn7 0.667 0.688 0.204 [1 per cell]
Mn8 0.685 0.368 0.713 [1 per cell]
B1 0.013 0.699 0.458 [1 per cell]
B2 0.027 0.339 0.954 [1 per cell]
B3 0.173 0.852 0.208 [1 per cell]
B4 0.174 0.201 0.712 [1 per cell]
B5 0.517 0.863 0.960 [1 per cell]
B6 0.518 0.199 0.457 [1 per cell]
B7 0.675 0.357 0.207 [1 per cell]
B8 0.683 0.699 0.708 [1 per cell]
O1 0.023 0.976 0.193 [1 per cell]
O2 0.038 0.072 0.695 [1 per cell]
O3 0.071 0.712 0.179 [1 per cell]
O4 0.074 0.336 0.673 [1 per cell]
O5 0.124 0.833 0.501 [1 per cell]
O6 0.134 0.205 0.999 [1 per cell]
O7 0.161 0.575 0.443 [1 per cell]
O8 0.168 0.463 0.941 [1 per cell]
O9 0.255 0.858 0.929 [1 per cell]
O10 0.259 0.189 0.425 [1 per cell]
O11 0.424 0.199 0.767 [1 per cell]
O12 0.426 0.866 0.249 [1 per cell]
O13 0.522 0.475 0.220 [1 per cell]
O14 0.530 0.576 0.690 [1 per cell]
O15 0.570 0.221 0.155 [1 per cell]
O16 0.582 0.839 0.679 [1 per cell]
O17 0.620 0.331 0.506 [1 per cell]
O18 0.643 0.738 0.003 [1 per cell]
O19 0.648 0.995 0.945 [1 per cell]
O20 0.671 0.078 0.436 [1 per cell]
O21 0.755 0.692 0.428 [1 per cell]
O22 0.773 0.336 0.916 [1 per cell]
O23 0.929 0.357 0.247 [1 per cell]
O24 0.934 0.683 0.751 [1 per cell]

Largest 10 diffraction maxima, in order of falling intensity, 2θ from 10° to 80°:
(hkl)	d/Å	Rel. int.
0 0 4	2.612	100
1 -1 1	4.142	76
1 -3 0	2.618	64
1 1 -2	3.502	52
0 2 0	4.519	51
2 2 -1	2.248	50
1 1 2	3.377	35
1 1 1	4.124	32
1 1 5	1.875	30
2 0 0	2.646	27


[4]
Theoretical powder diffractogram of MnCo3O8 for Cu Kα, 1.54184 Å, from a crystal structure in the Materials Project, relaxed with GGA+U.
No peak broadening, texture or thermal motion is included.

Crystal structure
Lattice parameters (Å, degrees): 4.925 2.871 19.587 90.00 90.08 90.00
Space group C2/m (No. 12)
Asymmetric unit:
Mn1 0.000 0.000 0.000 [2 per cell]
Co1 0.000 0.000 0.500 [2 per cell]
Co2 0.000 0.500 0.250 [4 per cell]
O1 0.166 0.500 0.050 [4 per cell]
O2 0.167 0.000 0.202 [4 per cell]
O3 0.167 0.000 0.702 [4 per cell]
O4 0.167 0.500 0.548 [4 per cell]

Largest 10 diffraction maxima, in order of falling intensity, 2θ from 10° to 80°:
(hkl)	d/Å	Rel. int.
0 0 4	4.897	100
1 1 -6	1.975	25
1 1 2	2.404	25
1 1 -10	1.537	14
2 0 -4	2.200	13
3 1 2	1.410	13
2 0 8	1.736	10
2 0 0	2.462	6
1 1 -4	2.213	6
1 1 -14	1.219	5


[5]
Theoretical powder diffractogram of Rb2VCuF6 for Cu Kα, 1.54184 Å, from a crystal structure in the Materials Project, relaxed with GGA+U.
No peak broadening, texture or thermal motion is included.

Crystal structure
Lattice parameters (Å, degrees): 8.489 8.489 8.489 90.00 90.00 90.00
Space group Fm-3m (No. 225)
Asymmetric unit:
Rb1 0.250 0.250 0.250 [8 per cell]
V1 0.000 0.000 0.000 [4 per cell]
Cu1 0.000 0.000 0.500 [4 per cell]
F1 0.000 0.000 0.234 [24 per cell]

Largest 10 diffraction maxima, in order of falling intensity, 2θ from 10° to 80°:
(hkl)	d/Å	Rel. int.
2 2 0	3.001	100
4 0 0	2.122	46
4 2 2	1.733	38
4 4 0	1.501	27
6 2 0	1.342	17
2 2 2	2.451	17
4 4 4	1.225	8
6 2 2	1.280	5
3 3 1	1.948	1
3 1 1	2.560	1